Entry 1:
The following is a theoretical X-ray diffraction stick pattern of Na2ScCuF7. It was derived from DFT lattice parameters and positions (GGA-PBE), using Cu Ka.
Neutral-atom scattering factors, no anomalous dispersion.

Cell and atoms:
```
Na2ScCuF7
1.0
10.640 0.000 0.000
0.000 7.343 0.000
0.000 0.000 7.773
Na Sc Cu F
8 4 4 28
Direct
0.000 0.000 0.000 Na
0.000 0.500 0.000 Na
0.238 0.250 0.284 Na
0.262 0.750 0.784 Na
0.500 0.000 0.500 Na
0.500 0.500 0.500 Na
0.738 0.250 0.216 Na
0.762 0.750 0.716 Na
0.232 0.250 0.778 Sc
0.268 0.750 0.278 Sc
0.732 0.250 0.722 Sc
0.768 0.750 0.222 Sc
0.000 0.000 0.500 Cu
0.000 0.500 0.500 Cu
0.500 0.000 0.000 Cu
0.500 0.500 0.000 Cu
0.033 0.250 0.435 F
0.121 0.030 0.736 F
0.121 0.470 0.736 F
0.144 0.250 0.017 F
0.144 0.553 0.356 F
0.144 0.947 0.356 F
0.171 0.750 0.052 F
0.329 0.250 0.552 F
0.356 0.053 0.856 F
0.356 0.447 0.856 F
0.356 0.750 0.517 F
0.379 0.530 0.236 F
0.379 0.970 0.236 F
0.467 0.750 0.935 F
0.533 0.250 0.065 F
0.621 0.030 0.764 F
0.621 0.470 0.764 F
0.644 0.250 0.483 F
0.644 0.553 0.144 F
0.644 0.947 0.144 F
0.671 0.750 0.448 F
0.829 0.250 0.948 F
0.856 0.053 0.644 F
0.856 0.447 0.644 F
0.856 0.750 0.983 F
0.879 0.530 0.264 F
0.879 0.970 0.264 F
0.967 0.750 0.565 F
```

Most intense lines, 5 to 70 degrees two-theta, in order of rising 2θ:
d_spacing	2θ/deg	intensity
6.276	14.11	74
5.336	16.61	23
3.227	27.65	24
3.169	28.16	33
3.138	28.44	100
3.022	29.56	87
1.884	48.31	75
1.836	49.67	26
1.634	56.29	29
1.584	58.23	23

=====

Entry 2:
The following is a theoretical X-ray diffraction stick pattern of FeAg3C6N6. It was derived from DFT lattice parameters and positions (GGA-PBE), using Cu Ka.
Neutral-atom scattering factors, no anomalous dispersion.

Cell and atoms:
```
FeAg3C6N6
1.0
7.011 0.000 0.000
-3.506 6.072 0.000
0.000 0.000 7.275
Fe Ag C N
1 3 6 6
Direct
0.000 0.000 0.000 Fe
0.000 0.500 0.500 Ag
0.500 0.000 0.500 Ag
0.500 0.500 0.500 Ag
0.000 0.215 0.158 C
0.000 0.785 0.842 C
0.215 0.000 0.158 C
0.215 0.215 0.842 C
0.785 0.000 0.842 C
0.785 0.785 0.158 C
0.000 0.339 0.267 N
0.000 0.661 0.733 N
0.339 0.000 0.267 N
0.339 0.339 0.733 N
0.661 0.000 0.733 N
0.661 0.661 0.267 N
```

Most intense lines, 5 to 70 degrees two-theta, in order of rising 2θ:
d_spacing	2θ/deg	intensity
7.275	12.17	70
4.662	19.04	100
3.637	24.47	19
3.158	28.26	41
3.036	29.42	67
2.802	31.94	61
2.331	38.63	70
2.189	41.25	19
1.579	58.45	23
1.560	59.22	19

=====

Entry 3:
The following is a theoretical X-ray diffraction stick pattern of CaP4Br12O4. It was derived from DFT lattice parameters and positions (GGA-PBE), using Cu Ka.
Neutral-atom scattering factors, no anomalous dispersion.

Cell and atoms:
```
CaP4Br12O4
1.0
6.879 0.000 0.000
0.531 10.975 0.000
1.647 0.237 10.882
Ca P Br O
1 4 12 4
Direct
0.000 0.000 0.000 Ca
0.122 0.982 0.320 P
0.440 0.967 0.759 P
0.588 0.464 0.184 P
0.874 0.476 0.682 P
0.114 0.470 0.526 Br
0.190 0.148 0.806 Br
0.192 0.813 0.847 Br
0.280 0.808 0.340 Br
0.298 0.124 0.374 Br
0.438 0.417 0.031 Br
0.612 0.966 0.045 Br
0.687 0.325 0.652 Br
0.693 0.641 0.646 Br
0.740 0.630 0.121 Br
0.823 0.320 0.190 Br
0.856 0.977 0.455 Br
0.076 0.004 0.193 O
0.458 0.476 0.303 O
0.473 0.952 0.624 O
0.938 0.472 0.804 O
```

Most intense lines, 5 to 70 degrees two-theta, in order of rising 2θ:
d_spacing	2θ/deg	intensity
5.494	16.13	47
4.918	18.04	63
4.835	18.35	50
4.593	19.33	100
4.312	20.60	68
3.969	22.40	67
3.283	27.16	96
3.228	27.63	39
3.162	28.22	54
3.066	29.12	41

=====

Entry 4:
The following is a theoretical X-ray diffraction stick pattern of Ba3Sc2N4. It was derived from DFT lattice parameters and positions (GGA-PBE), using Cu Ka.
Neutral-atom scattering factors, no anomalous dispersion.

Cell and atoms:
```
Ba3Sc2N4
1.0
5.832 -4.943 0.000
5.832 4.943 0.000
-0.417 0.000 6.559
Ba Sc N
6 4 8
Direct
0.085 0.915 0.750 Ba
0.220 0.552 0.420 Ba
0.448 0.780 0.080 Ba
0.552 0.220 0.920 Ba
0.780 0.448 0.580 Ba
0.915 0.085 0.250 Ba
0.116 0.339 0.925 Sc
0.339 0.116 0.425 Sc
0.661 0.884 0.575 Sc
0.884 0.661 0.075 Sc
0.128 0.255 0.608 N
0.156 0.604 0.000 N
0.255 0.128 0.108 N
0.396 0.844 0.500 N
0.604 0.156 0.500 N
0.745 0.872 0.892 N
0.844 0.396 0.000 N
0.872 0.745 0.392 N
```

Most intense lines, 5 to 70 degrees two-theta, in order of rising 2θ:
d_spacing	2θ/deg	intensity
3.948	22.52	34
3.246	27.48	78
3.211	27.79	100
3.171	28.14	27
3.053	29.25	43
2.783	32.17	35
2.509	35.79	26
2.299	39.18	26
2.266	39.78	24
1.605	57.41	24

=====

Entry 5:
The following is a theoretical X-ray diffraction stick pattern of K3DyCl6. It was derived from DFT lattice parameters and positions (GGA-PBE), using Cu Ka.
Neutral-atom scattering factors, no anomalous dispersion.

Cell and atoms:
```
K3DyCl6
1.0
0.000 5.607 5.607
5.607 0.000 5.607
5.607 5.607 0.000
K Dy Cl
3 1 6
Direct
0.000 0.000 0.000 K
0.250 0.250 0.250 K
0.750 0.750 0.750 K
0.500 0.500 0.500 Dy
0.266 0.266 0.734 Cl
0.266 0.734 0.266 Cl
0.266 0.734 0.734 Cl
0.734 0.266 0.266 Cl
0.734 0.266 0.734 Cl
0.734 0.734 0.266 Cl
```

Most intense lines, 5 to 70 degrees two-theta, in order of rising 2θ:
d_spacing	2θ/deg	intensity
6.475	13.68	79
5.607	15.80	87
3.965	22.42	91
3.381	26.36	33
2.804	31.92	100
2.508	35.81	42
2.289	39.36	40
2.158	41.86	22
1.982	45.77	66
1.499	61.92	22

=====

Entry 6:
The following is a theoretical X-ray diffraction stick pattern of K3MnC6N6. It was derived from DFT lattice parameters and positions (GGA-PBE), using Cu Ka.
Neutral-atom scattering factors, no anomalous dispersion.

Cell and atoms:
```
K3MnC6N6
1.0
7.198 0.000 0.000
0.000 10.671 0.000
-2.466 0.000 8.081
K Mn C N
6 2 12 12
Direct
0.000 0.000 0.000 K
0.000 0.500 0.500 K
0.500 0.227 0.124 K
0.500 0.273 0.624 K
0.500 0.727 0.376 K
0.500 0.773 0.876 K
0.000 0.000 0.500 Mn
0.000 0.500 0.000 Mn
0.122 0.667 0.030 C
0.122 0.833 0.530 C
0.185 0.055 0.709 C
0.185 0.445 0.209 C
0.186 0.056 0.384 C
0.186 0.444 0.884 C
0.814 0.556 0.116 C
0.814 0.944 0.616 C
0.815 0.555 0.791 C
0.815 0.945 0.291 C
0.878 0.167 0.470 C
0.878 0.333 0.970 C
0.200 0.735 0.549 N
0.200 0.765 0.049 N
0.293 0.087 0.836 N
0.293 0.413 0.336 N
0.295 0.089 0.312 N
0.295 0.411 0.812 N
0.705 0.589 0.188 N
0.705 0.911 0.688 N
0.707 0.587 0.664 N
0.707 0.913 0.164 N
0.800 0.235 0.951 N
0.800 0.265 0.451 N
```

Most intense lines, 5 to 70 degrees two-theta, in order of rising 2θ:
d_spacing	2θ/deg	intensity
4.217	21.06	100
4.039	22.01	27
3.160	28.24	24
3.108	28.72	39
2.984	29.94	60
2.686	33.36	34
2.669	33.58	39
2.226	40.53	18
2.118	42.70	20
2.110	42.87	47

=====

Entry 7:
The following is a theoretical X-ray diffraction stick pattern of Ba6MgNb2IrCl2O12. It was derived from DFT lattice parameters and positions (GGA-PBE), using Cu Ka.
Neutral-atom scattering factors, no anomalous dispersion.

Cell and atoms:
```
Ba6MgNb2IrCl2O12
1.0
5.180 -2.991 0.000
5.180 2.991 0.000
-0.012 0.000 15.845
Ba Mg Nb Ir Cl O
6 1 2 1 2 12
Direct
0.000 0.000 0.000 Ba
0.000 0.000 0.237 Ba
0.000 0.000 0.609 Ba
0.667 0.667 0.150 Ba
0.667 0.667 0.413 Ba
0.667 0.667 0.734 Ba
0.000 0.000 0.424 Mg
0.333 0.333 0.559 Nb
0.334 0.334 0.183 Nb
0.334 0.334 0.367 Ir
0.000 0.000 0.798 Cl
0.667 0.667 0.945 Cl
0.013 0.493 0.619 O
0.031 0.485 0.277 O
0.172 0.656 0.118 O
0.173 0.173 0.118 O
0.181 0.181 0.460 O
0.181 0.640 0.461 O
0.485 0.031 0.277 O
0.485 0.485 0.277 O
0.493 0.013 0.619 O
0.493 0.493 0.619 O
0.640 0.181 0.461 O
0.656 0.172 0.118 O
```

Most intense lines, 5 to 70 degrees two-theta, in order of rising 2θ:
d_spacing	2θ/deg	intensity
15.845	5.58	100
4.923	18.02	25
3.698	24.06	24
3.147	28.36	18
2.991	29.88	69
2.703	33.14	18
2.325	38.72	17
2.175	41.52	21
1.727	53.04	14
1.495	62.07	12

=====

Entry 8:
The following is a theoretical X-ray diffraction stick pattern of NdZn. It was derived from DFT lattice parameters and positions (GGA-PBE), using Cu Ka.
Neutral-atom scattering factors, no anomalous dispersion.

Cell and atoms:
```
NdZn
1.0
3.686 0.000 0.000
0.000 3.686 0.000
0.000 0.000 3.686
Nd Zn
1 1
Direct
0.000 0.000 0.000 Nd
0.500 0.500 0.500 Zn
```

Most intense lines, 5 to 70 degrees two-theta, in order of rising 2θ:
d_spacing	2θ/deg	intensity
3.686	24.14	14
2.607	34.41	100
2.128	42.47	4
1.843	49.45	18
1.649	55.76	6
1.505	61.63	36